# SmThMnN4
Simulated powder diffractogram, copper Kα. Input: a crystal structure in Alexandria, relaxed with PBE.
Peak positions follow from Bragg's law for the DFT cell and can differ from measured ones.

Structural model:
abc: 6.8781 6.8781 6.8781
angles: 148.76 148.76 44.76
Fractional coordinates of all 7 atoms:
Sm  0.0000  0.0000  0.0000
Th  0.2894  0.2894  0.0000
Mn  0.6430  0.6430  0.0000
N  0.1455  0.6455  0.5000
N  0.4713  0.4713  0.0000
N  0.6455  0.1455  0.5000
N  0.8130  0.8130  0.0000

Largest 10 diffraction maxima, in order of rising 2θ, 2θ = 10–80°:
25.04 deg, I 38
28.06 deg, I 17
32.09 deg, I 100
34.24 deg, I 56
44.83 deg, I 28
49.20 deg, I 25
55.79 deg, I 15
56.40 deg, I 15
59.96 deg, I 35
78.07 deg, I 12